(1)
# Mg6NiCO8
Simulated powder XRD pattern, Cu Kα X-rays. Input: a PBE+U-relaxed structure.

Top 10 peaks for 2θ = 5–70°, in order of rising 2θ:
| 2θ (°) | I (rel.) |
| --- | --- |
| 10.38 | 11.0 |
| 21.17 | 14.9 |
| 23.63 | 22.9 |
| 29.89 | 13.0 |
| 36.92 | 24.1 |
| 38.27 | 7.0 |
| 42.44 | 52.3 |
| 43.11 | 100.0 |
| 62.10 | 56.7 |
| 62.61 | 27.7 |

Cell and atoms:
```
Mg6NiCO8
1.0
4.197 0.000 0.000
0.000 4.197 0.000
0.000 0.000 8.519
Mg Ni C O
6 1 1 8
Direct
0.000 0.000 0.000 Mg
0.000 0.500 0.256 Mg
0.000 0.500 0.744 Mg
0.500 0.000 0.256 Mg
0.500 0.000 0.744 Mg
0.500 0.500 0.000 Mg
0.000 0.000 0.500 Ni
0.500 0.500 0.500 C
0.000 0.000 0.251 O
0.000 0.000 0.749 O
0.000 0.500 0.000 O
0.000 0.500 0.500 O
0.500 0.000 0.000 O
0.500 0.000 0.500 O
0.500 0.500 0.251 O
0.500 0.500 0.749 O
```

---

(2)
# Mg6NiCO8
Simulated powder XRD pattern, Cu Kα X-rays. Input: a PBE+U-relaxed structure.

Top 10 peaks for 2θ = 5–70°, in order of rising 2θ:
| 2θ (°) | I (rel.) |
| --- | --- |
| 10.42 | 32.2 |
| 23.58 | 23.1 |
| 31.85 | 11.5 |
| 36.87 | 24.0 |
| 38.33 | 6.5 |
| 42.61 | 51.3 |
| 42.96 | 100.0 |
| 49.58 | 6.5 |
| 62.10 | 56.3 |
| 62.37 | 27.7 |

Cell and atoms:
```
Mg6NiCO8
1.0
4.211 0.000 0.000
0.000 4.211 0.000
0.000 0.000 8.488
Mg Ni C O
6 1 1 8
Direct
0.000 0.000 0.000 Mg
0.000 0.000 0.500 Mg
0.000 0.500 0.248 Mg
0.000 0.500 0.752 Mg
0.500 0.000 0.248 Mg
0.500 0.000 0.752 Mg
0.500 0.500 0.500 Ni
0.500 0.500 0.000 C
0.000 0.000 0.249 O
0.000 0.000 0.751 O
0.000 0.500 0.000 O
0.000 0.500 0.500 O
0.500 0.000 0.000 O
0.500 0.000 0.500 O
0.500 0.500 0.250 O
0.500 0.500 0.750 O
```

---

(3)
# MgVC2O6
Simulated powder XRD pattern, Cu Kα X-rays. Input: a PBE+U-relaxed structure.

Top 10 peaks for 2θ = 5–70°, in order of rising 2θ:
| 2θ (°) | I (rel.) |
| --- | --- |
| 16.50 | 19.7 |
| 22.00 | 20.8 |
| 24.48 | 34.4 |
| 24.66 | 100.0 |
| 32.42 | 75.8 |
| 35.84 | 25.1 |
| 39.16 | 45.8 |
| 43.32 | 40.4 |
| 44.43 | 21.9 |
| 58.22 | 19.0 |

Cell and atoms:
```
MgVC2O6
1.0
4.707 0.000 0.000
2.344 4.376 0.000
1.755 -0.695 5.372
Mg V C O
1 1 2 6
Direct
0.000 0.000 0.000 Mg
0.500 0.500 0.500 V
0.286 0.102 0.261 C
0.714 0.898 0.739 C
0.017 0.334 0.232 O
0.304 0.833 0.251 O
0.463 0.867 0.721 O
0.537 0.133 0.279 O
0.696 0.167 0.749 O
0.983 0.666 0.768 O
```

---

(4)
# MgV2C4O12
Simulated powder XRD pattern, Cu Kα X-rays. Input: a PBE+U-relaxed structure.

Top 10 peaks for 2θ = 5–70°, in order of rising 2θ:
| 2θ (°) | I (rel.) |
| --- | --- |
| 11.49 | 43.9 |
| 18.45 | 100.0 |
| 19.14 | 84.0 |
| 22.85 | 49.6 |
| 27.65 | 45.6 |
| 27.96 | 71.9 |
| 31.71 | 73.4 |
| 33.20 | 48.6 |
| 34.59 | 91.5 |
| 41.06 | 64.3 |

Cell and atoms:
```
MgV2C4O12
1.0
4.447 0.000 0.000
0.210 5.979 0.000
0.206 0.291 7.700
Mg V C O
1 2 4 12
Direct
0.000 0.000 0.000 Mg
0.000 0.000 0.500 V
0.500 0.500 0.000 V
0.001 0.642 0.757 C
0.494 0.129 0.750 C
0.506 0.871 0.250 C
0.999 0.358 0.243 C
0.104 0.701 0.607 O
0.161 0.692 0.895 O
0.225 0.939 0.248 O
0.248 0.454 0.220 O
0.351 0.136 0.611 O
0.363 0.195 0.897 O
0.637 0.805 0.103 O
0.649 0.864 0.389 O
0.752 0.546 0.780 O
0.775 0.061 0.752 O
0.839 0.308 0.105 O
0.896 0.299 0.393 O
```

---

(5)
# Mg14VCO16
Simulated powder XRD pattern, Cu Kα X-rays. Input: a PBE+U-relaxed structure.

Top 10 peaks for 2θ = 5–70°, in order of rising 2θ:
| 2θ (°) | I (rel.) |
| --- | --- |
| 10.07 | 10.0 |
| 14.52 | 10.9 |
| 25.74 | 8.5 |
| 36.39 | 32.3 |
| 41.12 | 100.0 |
| 42.62 | 91.6 |
| 43.06 | 89.0 |
| 60.71 | 52.8 |
| 61.05 | 52.0 |
| 62.19 | 50.4 |

Cell and atoms:
```
Mg14VCO16
1.0
4.202 0.000 0.000
0.000 8.485 0.000
0.000 0.000 8.782
Mg V C O
14 1 1 16
Direct
0.000 0.000 0.000 Mg
0.000 0.000 0.500 Mg
0.000 0.253 0.244 Mg
0.000 0.253 0.756 Mg
0.000 0.747 0.244 Mg
0.000 0.747 0.756 Mg
0.500 0.000 0.248 Mg
0.500 0.000 0.752 Mg
0.500 0.247 0.500 Mg
0.500 0.254 0.000 Mg
0.500 0.500 0.240 Mg
0.500 0.500 0.760 Mg
0.500 0.746 0.000 Mg
0.500 0.753 0.500 Mg
0.000 0.500 0.500 V
0.000 0.500 0.000 C
0.000 0.000 0.251 O
0.000 0.000 0.749 O
0.000 0.244 0.000 O
0.000 0.249 0.500 O
0.000 0.500 0.279 O
0.000 0.500 0.721 O
0.000 0.751 0.500 O
0.000 0.756 0.000 O
0.500 0.000 0.000 O
0.500 0.000 0.500 O
0.500 0.253 0.249 O
0.500 0.253 0.751 O
0.500 0.500 0.000 O
0.500 0.500 0.500 O
0.500 0.747 0.249 O
0.500 0.747 0.751 O
```

---

(6)
# MgV2C4O12
Simulated powder XRD pattern, Cu Kα X-rays. Input: a PBE+U-relaxed structure.

Top 10 peaks for 2θ = 5–70°, in order of rising 2θ:
| 2θ (°) | I (rel.) |
| --- | --- |
| 14.82 | 25.6 |
| 19.01 | 100.0 |
| 24.49 | 16.3 |
| 29.89 | 34.3 |
| 30.29 | 74.5 |
| 32.43 | 65.2 |
| 32.62 | 18.0 |
| 44.36 | 29.9 |
| 45.26 | 14.1 |
| 54.21 | 21.8 |

Cell and atoms:
```
MgV2C4O12
1.0
4.405 -4.320 0.000
4.405 4.320 0.000
-2.001 0.000 5.521
Mg V C O
1 2 4 12
Direct
0.000 0.000 0.000 Mg
0.208 0.792 0.500 V
0.599 0.401 0.000 V
0.097 0.478 0.037 C
0.279 0.283 0.515 C
0.522 0.903 0.963 C
0.717 0.721 0.485 C
0.076 0.692 0.129 O
0.163 0.098 0.382 O
0.195 0.472 0.506 O
0.286 0.394 0.036 O
0.308 0.924 0.871 O
0.472 0.263 0.651 O
0.528 0.805 0.494 O
0.606 0.714 0.964 O
0.659 0.077 0.044 O
0.737 0.528 0.349 O
0.902 0.837 0.618 O
0.923 0.341 0.956 O
```

---

(7)
# Mg14VCO16
Simulated powder XRD pattern, Cu Kα X-rays. Input: a PBE+U-relaxed structure.

Top 10 peaks for 2θ = 5–70°, in order of rising 2θ:
| 2θ (°) | I (rel.) |
| --- | --- |
| 10.37 | 5.3 |
| 23.33 | 4.4 |
| 31.47 | 3.6 |
| 36.50 | 11.2 |
| 38.04 | 1.4 |
| 42.40 | 100.0 |
| 43.78 | 1.1 |
| 48.97 | 1.2 |
| 58.26 | 1.1 |
| 61.52 | 55.6 |

Cell and atoms:
```
Mg14VCO16
1.0
8.532 0.000 0.000
0.000 8.532 0.000
0.000 0.000 4.258
Mg V C O
14 1 1 16
Direct
0.000 0.246 0.000 Mg
0.000 0.500 0.500 Mg
0.000 0.754 0.000 Mg
0.246 0.000 0.000 Mg
0.247 0.247 0.500 Mg
0.247 0.753 0.500 Mg
0.248 0.500 0.000 Mg
0.500 0.000 0.500 Mg
0.500 0.248 0.000 Mg
0.500 0.752 0.000 Mg
0.752 0.500 0.000 Mg
0.753 0.247 0.500 Mg
0.753 0.753 0.500 Mg
0.754 0.000 0.000 Mg
0.500 0.500 0.500 V
0.000 0.000 0.500 C
0.000 0.000 0.000 O
0.000 0.251 0.500 O
0.000 0.500 0.000 O
0.000 0.749 0.500 O
0.245 0.500 0.500 O
0.249 0.249 0.000 O
0.249 0.751 0.000 O
0.251 0.000 0.500 O
0.500 0.000 0.000 O
0.500 0.245 0.500 O
0.500 0.500 0.000 O
0.500 0.755 0.500 O
0.749 0.000 0.500 O
0.751 0.249 0.000 O
0.751 0.751 0.000 O
0.755 0.500 0.500 O
```

---

(8)
# MgVC2O6
Simulated powder XRD pattern, Cu Kα X-rays. Input: a PBE+U-relaxed structure.

Top 10 peaks for 2θ = 5–70°, in order of rising 2θ:
| 2θ (°) | I (rel.) |
| --- | --- |
| 22.38 | 9.1 |
| 24.57 | 10.2 |
| 31.93 | 100.0 |
| 37.89 | 12.7 |
| 41.96 | 35.0 |
| 45.68 | 16.9 |
| 52.68 | 45.8 |
| 60.80 | 11.2 |
| 64.72 | 8.3 |
| 68.43 | 12.4 |

Cell and atoms:
```
MgVC2O6
1.0
2.375 1.371 5.106
-2.375 1.371 5.106
0.000 -2.742 5.106
Mg V C O
1 1 2 6
Direct
0.000 0.000 0.000 Mg
0.500 0.500 0.500 V
0.252 0.252 0.252 C
0.748 0.748 0.748 C
0.017 0.757 0.471 O
0.243 0.529 0.983 O
0.471 0.017 0.757 O
0.529 0.983 0.243 O
0.757 0.471 0.017 O
0.983 0.243 0.529 O
```

---

(9)
# MgVC2O6
Simulated powder XRD pattern, Cu Kα X-rays. Input: a PBE+U-relaxed structure.

Top 10 peaks for 2θ = 5–70°, in order of rising 2θ:
| 2θ (°) | I (rel.) |
| --- | --- |
| 22.24 | 33.1 |
| 24.17 | 100.0 |
| 34.96 | 88.6 |
| 37.80 | 20.8 |
| 41.38 | 50.4 |
| 44.30 | 16.2 |
| 44.48 | 29.5 |
| 50.86 | 35.4 |
| 59.61 | 17.5 |
| 68.27 | 16.7 |

Cell and atoms:
```
MgVC2O6
1.0
4.758 0.000 0.000
2.378 4.123 0.000
2.366 1.374 5.467
Mg V C O
1 1 2 6
Direct
0.000 0.000 0.000 Mg
0.181 0.180 0.458 V
0.589 0.589 0.233 C
0.758 0.756 0.729 C
0.312 0.857 0.231 O
0.462 0.810 0.732 O
0.600 0.312 0.232 O
0.813 0.996 0.732 O
0.857 0.600 0.232 O
0.998 0.458 0.733 O
```

---

(10)
# Mn2NbC8N8O8
Simulated powder XRD pattern, Cu Kα X-rays. Input: a PBE+U-relaxed structure.

Top 10 peaks for 2θ = 5–70°, in order of rising 2θ:
| 2θ (°) | I (rel.) |
| --- | --- |
| 10.87 | 13.2 |
| 17.22 | 20.2 |
| 18.48 | 45.1 |
| 20.41 | 100.0 |
| 21.83 | 18.7 |
| 34.85 | 25.9 |
| 35.73 | 10.1 |
| 36.61 | 16.6 |
| 45.95 | 9.5 |
| 58.34 | 10.7 |

Cell and atoms:
```
Mn2NbC8N8O8
1.0
-5.758 5.758 6.647
5.758 -5.758 6.647
5.758 5.758 -6.647
Mn Nb C N O
4 2 16 16 16
Direct
0.188 0.309 0.497 Mn
0.309 0.812 0.121 Mn
0.691 0.188 0.879 Mn
0.812 0.691 0.503 Mn
0.246 0.246 0.000 Nb
0.754 0.754 0.000 Nb
0.001 0.210 0.895 C
0.106 0.001 0.791 C
0.197 0.257 0.778 C
0.210 0.315 0.209 C
0.257 0.479 0.060 C
0.315 0.106 0.105 C
0.419 0.197 0.940 C
0.479 0.419 0.222 C
0.521 0.581 0.778 C
0.581 0.803 0.060 C
0.685 0.894 0.895 C
0.743 0.521 0.940 C
0.790 0.685 0.791 C
0.803 0.743 0.222 C
0.894 0.999 0.209 C
0.999 0.790 0.105 C
0.016 0.877 0.681 N
0.123 0.805 0.140 N
0.184 0.270 0.669 N
0.195 0.335 0.319 N
0.270 0.601 0.086 N
0.335 0.016 0.140 N
0.399 0.485 0.669 N
0.485 0.816 0.086 N
0.515 0.184 0.914 N
0.601 0.515 0.331 N
0.665 0.984 0.860 N
0.730 0.399 0.914 N
0.805 0.665 0.681 N
0.816 0.730 0.331 N
0.877 0.195 0.860 N
0.984 0.123 0.319 N
0.107 0.427 0.534 O
0.173 0.687 0.376 O
0.190 0.727 0.918 O
0.202 0.827 0.513 O
0.273 0.190 0.463 O
0.311 0.798 0.624 O
0.313 0.689 0.487 O
0.427 0.893 0.320 O
0.573 0.107 0.680 O
0.687 0.311 0.513 O
0.689 0.202 0.376 O
0.727 0.810 0.537 O
0.798 0.173 0.487 O
0.810 0.273 0.082 O
0.827 0.313 0.624 O
0.893 0.573 0.466 O
```